AcCuPRh6: simulated X-ray powder pattern (a wavelength of 1.5418 Å), based on a cell relaxed with PBE.

```
data_AcCuPRh6
_cell_length_a 5.9767
_cell_length_b 9.2302
_cell_length_c 11.5868
_cell_angle_alpha 90.00
_cell_angle_beta 90.00
_cell_angle_gamma 90.00
_space_group_name_H-M_alt 'I m m a'
_space_group_IT_number 74
_space_group_name_Hall '-I 2b 2'
loop_
_atom_site_label
_atom_site_fract_x
_atom_site_fract_y
_atom_site_fract_z
Ac1 0.0000 0.2500 0.1711
Cu1 0.2500 0.2500 0.7500
P1 0.0000 0.0000 0.5000
Rh1 0.0000 0.2500 0.4434
Rh2 0.0000 0.2500 0.9227
Rh3 0.2349 0.0199 0.8685
```

Principal peaks in the range 15 to 90 degrees two-theta, low angle first:
- (1 0 3), 3.244 Å, intensity 24
- (0 0 4), 2.897 Å, intensity 16
- (2 1 1), 2.761 Å, intensity 25
- (1 2 3), 2.654 Å, intensity 14
- (2 2 0), 2.508 Å, intensity 100
- (0 2 4), 2.453 Å, intensity 12
- (0 4 0), 2.308 Å, intensity 37
- (1 3 4), 1.989 Å, intensity 19
- (2 2 4), 1.896 Å, intensity 37
- (4 4 0), 1.254 Å, intensity 10